Dy4Er8Mg: computed X-ray powder pattern (Cu Kα, 1.54184 Å), based on the PBE geometry in Alexandria.
Neutral-atom scattering factors, no anomalous dispersion.

Largest 8 diffraction maxima, in order of rising 2θ, 10 to 90 degrees two-theta:
(hkl), two_theta, d_spacing, Rel. int.
0 0 9, 28.39, 3.144, 36
0 2 1, 29.32, 3.046, 24
0 2 4, 31.83, 2.812, 100
2 0 5, 33.25, 2.695, 50
2 0 8, 38.89, 2.316, 32
0 2 13, 51.50, 1.774, 19
2 2 0, 51.67, 1.769, 31
2 2 9, 59.99, 1.542, 28

Structural model:
Lattice parameters (Å, degrees): 7.0766 7.0766 28.2919 90.00 90.00 120.00
Space group R-3m (No. 166, hexagonal axes)
Symmetry-distinct sites (fractional):
Dy 0.0000 0.0000 0.0000 [3 per cell]
Dy 0.0000 0.5000 0.0000 [9 per cell]
Er 0.0000 0.0000 0.2119 [6 per cell]
Er 0.0194 0.5097 0.7637 [18 per cell]
Mg 0.0000 0.0000 0.5000 [3 per cell]